# 1
Computed powder XRD pattern
Compound: LaHo2Tl2Zn2
Radiation: λ = 1.5418 Å (Cu Kα)
Structure: a DFT-relaxed cell (GGA-PBE, Alexandria)
Intensities are scaled so that the largest is 100.

```
LaHo2Tl2Zn2
1.0
2.4134 1.3934 9.0844
-2.4134 1.3934 9.0844
0.0000 -2.7867 9.0844
La Ho Tl Zn
1 2 2 2
Direct
0.0000 0.0000 0.0000 La
0.1328 0.1328 0.1328 Ho
0.8672 0.8672 0.8672 Ho
0.2626 0.2626 0.2626 Tl
0.7374 0.7374 0.7374 Tl
0.4323 0.4323 0.4323 Zn
0.5677 0.5677 0.5677 Zn
```

Most intense lines, 2θ = 5–70°, by intensity:
- 37.3°, intensity 100
- 31.4°, intensity 96
- 33.9°, intensity 49
- 49.5°, intensity 27
- 63.6°, intensity 25
- 64.2°, intensity 20
- 67.2°, intensity 18
- 51.3°, intensity 16


# 2
Computed powder XRD pattern
Compound: Ti2FeNiSb2
Radiation: λ = 1.5418 Å (Cu Kα)
Structure: a DFT-relaxed cell (GGA-PBE, Alexandria)
Intensities are scaled so that the largest is 100.

```
Ti2FeNiSb2
1.0
2.1016 1.2133 6.7905
-2.1016 1.2133 6.7905
0.0000 -2.4267 6.7905
Ti Fe Ni Sb
2 1 1 2
Direct
0.0000 0.0000 0.0000 Ti
0.4929 0.4929 0.4929 Ti
0.3743 0.3743 0.3743 Fe
0.8706 0.8706 0.8706 Ni
0.2482 0.2482 0.2482 Sb
0.7445 0.7445 0.7445 Sb
```

Most intense lines, 2θ = 5–70°, by intensity:
- 43.0°, intensity 100
- 43.4°, intensity 96
- 26.0°, intensity 68
- 30.2°, intensity 57
- 62.8°, intensity 30
- 26.2°, intensity 23
- 51.1°, intensity 22
- 53.5°, intensity 11


# 3
Computed powder XRD pattern
Compound: CsZrTlS3
Radiation: λ = 1.5418 Å (Cu Kα)
Structure: a DFT-relaxed cell (GGA-PBE, Alexandria)
Intensities are scaled so that the largest is 100.

```
CsZrTlS3
1.0
3.7899 -7.6226 0.0000
3.7899 7.6226 0.0000
-1.3273 0.0000 6.8479
Cs Zr Tl S
2 2 2 6
Direct
0.2452 0.7548 0.7500 Cs
0.7548 0.2452 0.2500 Cs
0.4521 0.5479 0.2500 Zr
0.5479 0.4521 0.7500 Zr
0.0857 0.9143 0.2500 Tl
0.9143 0.0857 0.7500 Tl
0.2476 0.3142 0.4957 S
0.2962 0.7038 0.2500 S
0.3142 0.2476 0.9957 S
0.6858 0.7524 0.0043 S
0.7038 0.2962 0.7500 S
0.7524 0.6858 0.5043 S
```

Most intense lines, 2θ = 5–70°, by intensity:
- 26.1°, intensity 100
- 23.6°, intensity 58
- 23.9°, intensity 38
- 32.0°, intensity 32
- 43.0°, intensity 22
- 40.4°, intensity 21
- 39.0°, intensity 18
- 43.1°, intensity 13


# 4
Computed powder XRD pattern
Compound: CsReO4
Radiation: λ = 1.5418 Å (Cu Kα)
Structure: a DFT-relaxed cell (GGA-PBE, Alexandria)
Intensities are scaled so that the largest is 100.

```
CsReO4
1.0
5.9771 0.0000 0.0000
0.0000 6.1406 0.0000
0.0000 0.0000 14.6528
Cs Re O
4 4 16
Direct
0.0191 0.2500 0.1284 Cs
0.4809 0.7500 0.6284 Cs
0.5191 0.2500 0.3716 Cs
0.9809 0.7500 0.8716 Cs
0.0297 0.7500 0.3813 Re
0.4703 0.2500 0.8813 Re
0.5297 0.7500 0.1187 Re
0.9703 0.2500 0.6187 Re
0.0211 0.0165 0.6847 O
0.0211 0.4835 0.6847 O
0.1504 0.2500 0.5243 O
0.1904 0.2500 0.9184 O
0.3096 0.7500 0.4184 O
0.3496 0.7500 0.0243 O
0.4789 0.5165 0.1847 O
0.4789 0.9835 0.1847 O
0.5211 0.0165 0.8153 O
0.5211 0.4835 0.8153 O
0.6504 0.2500 0.9757 O
0.6904 0.2500 0.5816 O
0.8096 0.7500 0.0816 O
0.8496 0.7500 0.4757 O
0.9789 0.5165 0.3153 O
0.9789 0.9835 0.3153 O
```

Most intense lines, 2θ = 5–70°, by intensity:
- 24.1°, intensity 100
- 24.3°, intensity 24
- 42.6°, intensity 21
- 29.1°, intensity 16
- 29.9°, intensity 15
- 49.7°, intensity 15
- 38.2°, intensity 15
- 48.6°, intensity 14


# 5
Computed powder XRD pattern
Compound: Nd6FeNi2I3
Radiation: λ = 1.5418 Å (Cu Kα)
Structure: a DFT-relaxed cell (GGA-PBE, Alexandria)
Intensities are scaled so that the largest is 100.

```
Nd6FeNi2I3
1.0
3.5496 -6.1470 0.0000
3.5496 6.1470 0.0000
-2.3659 0.0000 8.1060
Nd Fe Ni I
6 1 2 3
Direct
0.0612 0.3838 0.1838 Nd
0.2612 0.2612 0.8159 Nd
0.3838 0.0612 0.1838 Nd
0.6162 0.9388 0.8162 Nd
0.7388 0.7388 0.1841 Nd
0.9388 0.6162 0.8162 Nd
0.0000 0.0000 0.0000 Fe
0.3333 0.6667 0.0000 Ni
0.6667 0.3333 0.0000 Ni
0.1662 0.8338 0.5000 I
0.5000 0.5000 0.5000 I
0.8338 0.1662 0.5000 I
```

Most intense lines, 2θ = 5–70°, by intensity:
- 29.1°, intensity 100
- 44.2°, intensity 38
- 31.2°, intensity 27
- 39.0°, intensity 24
- 56.3°, intensity 18
- 53.8°, intensity 17
- 33.2°, intensity 14
- 55.5°, intensity 10


# 6
Computed powder XRD pattern
Compound: Rb2SiPbO4
Radiation: λ = 1.5418 Å (Cu Kα)
Structure: a DFT-relaxed cell (GGA-PBE, Alexandria)
Intensities are scaled so that the largest is 100.

```
Rb2SiPbO4
1.0
5.9688 0.0000 0.0000
0.0000 7.8907 0.0000
0.0000 0.0000 6.5276
Rb Si Pb O
4 2 2 8
Direct
0.2500 0.0115 0.2295 Rb
0.2500 0.4885 0.2295 Rb
0.7500 0.5115 0.7705 Rb
0.7500 0.9885 0.7705 Rb
0.2500 0.7500 0.6569 Si
0.7500 0.2500 0.3431 Si
0.2500 0.2500 0.7255 Pb
0.7500 0.7500 0.2745 Pb
0.0231 0.7500 0.5046 O
0.2500 0.5748 0.7940 O
0.2500 0.9252 0.7940 O
0.4769 0.7500 0.5046 O
0.5231 0.2500 0.4954 O
0.7500 0.0748 0.2060 O
0.7500 0.4252 0.2060 O
0.9769 0.2500 0.4954 O
```

Most intense lines, 2θ = 5–70°, by intensity:
- 30.4°, intensity 100
- 27.3°, intensity 31
- 29.9°, intensity 31
- 18.6°, intensity 30
- 41.0°, intensity 29
- 17.6°, intensity 27
- 53.4°, intensity 25
- 33.3°, intensity 20


# 7
Computed powder XRD pattern
Compound: Ce2NbReN5
Radiation: λ = 1.5418 Å (Cu Kα)
Structure: a DFT-relaxed cell (GGA-PBE, Alexandria)
Intensities are scaled so that the largest is 100.

```
Ce2NbReN5
1.0
3.8323 0.0000 0.0000
0.0000 3.8323 0.0000
0.0000 0.0000 8.2727
Ce Nb Re N
2 1 1 5
Direct
0.0000 0.0000 0.2198 Ce
0.0000 0.0000 0.7802 Ce
0.5000 0.5000 0.5000 Nb
0.5000 0.5000 0.0000 Re
0.0000 0.0000 0.5000 N
0.0000 0.5000 0.0000 N
0.5000 0.0000 0.0000 N
0.5000 0.5000 0.2588 N
0.5000 0.5000 0.7412 N
```

Most intense lines, 2θ = 5–70°, by intensity:
- 31.8°, intensity 100
- 33.1°, intensity 60
- 58.3°, intensity 37
- 10.7°, intensity 29
- 47.4°, intensity 25
- 55.9°, intensity 20
- 40.3°, intensity 14
- 66.5°, intensity 14


# 8
Computed powder XRD pattern
Compound: CoAg5Cl8
Radiation: λ = 1.5418 Å (Cu Kα)
Structure: a DFT-relaxed cell (GGA-PBE, Alexandria)
Intensities are scaled so that the largest is 100.

```
CoAg5Cl8
1.0
-4.7241 4.7241 3.9966
4.7241 -4.7241 3.9966
4.7241 4.7241 -3.9966
Co Ag Cl
1 5 8
Direct
0.0000 0.0000 0.0000 Co
0.1351 0.1230 0.5281 Ag
0.2500 0.7500 0.5000 Ag
0.3930 0.8649 0.9879 Ag
0.5949 0.6070 0.4719 Ag
0.8770 0.4051 0.0121 Ag
0.3087 0.6422 0.1850 Cl
0.3354 0.1599 0.2404 Cl
0.3578 0.5428 0.6665 Cl
0.4572 0.1238 0.8150 Cl
0.8401 0.0805 0.1756 Cl
0.8762 0.6913 0.3335 Cl
0.9049 0.6646 0.8244 Cl
0.9195 0.0951 0.7596 Cl
```

Most intense lines, 2θ = 5–70°, by intensity:
- 37.6°, intensity 100
- 26.0°, intensity 73
- 18.8°, intensity 45
- 38.1°, intensity 45
- 14.5°, intensity 41
- 49.5°, intensity 39
- 26.7°, intensity 37
- 46.7°, intensity 36


# 9
Computed powder XRD pattern
Compound: Tb2Al3Zn9
Radiation: λ = 1.5418 Å (Cu Kα)
Structure: a DFT-relaxed cell (GGA-PBE, Alexandria)
Intensities are scaled so that the largest is 100.

```
Tb2Al3Zn9
1.0
6.6579 -3.9040 0.0000
6.6579 3.9040 0.0000
0.0000 0.0000 9.2991
Tb Al Zn
4 6 18
Direct
0.0012 0.3254 0.2500 Tb
0.3254 0.0012 0.7500 Tb
0.6746 0.9988 0.2500 Tb
0.9988 0.6746 0.7500 Tb
0.0000 0.0000 0.0000 Al
0.0000 0.0000 0.5000 Al
0.3156 0.3156 0.0000 Al
0.3156 0.3156 0.5000 Al
0.6844 0.6844 0.0000 Al
0.6844 0.6844 0.5000 Al
0.0228 0.6602 0.0883 Zn
0.0228 0.6602 0.4117 Zn
0.1406 0.8594 0.2500 Zn
0.3386 0.6614 0.5650 Zn
0.3386 0.6614 0.9350 Zn
0.3398 0.9772 0.0883 Zn
0.3398 0.9772 0.4117 Zn
0.3497 0.4558 0.2500 Zn
0.4558 0.3497 0.7500 Zn
0.5442 0.6503 0.2500 Zn
0.6503 0.5442 0.7500 Zn
0.6602 0.0228 0.5883 Zn
0.6602 0.0228 0.9117 Zn
0.6614 0.3386 0.0650 Zn
0.6614 0.3386 0.4350 Zn
0.8594 0.1406 0.7500 Zn
0.9772 0.3398 0.5883 Zn
0.9772 0.3398 0.9117 Zn
```

Most intense lines, 2θ = 5–70°, by intensity:
- 37.2°, intensity 100
- 40.2°, intensity 51
- 37.0°, intensity 47
- 40.7°, intensity 24
- 40.3°, intensity 18
- 36.8°, intensity 17
- 40.7°, intensity 16
- 23.0°, intensity 14


# 10
Computed powder XRD pattern
Compound: Ba3Li2Cd2Sb4
Radiation: λ = 1.5418 Å (Cu Kα)
Structure: a DFT-relaxed cell (GGA-PBE, Alexandria)
Intensities are scaled so that the largest is 100.

```
Ba3Li2Cd2Sb4
1.0
4.9084 0.0000 0.0000
-2.4542 4.2508 0.0000
0.0000 0.0000 17.3189
Ba Li Cd Sb
3 2 2 4
Direct
0.0000 0.0000 0.0000 Ba
0.0000 0.0000 0.2675 Ba
0.0000 0.0000 0.7325 Ba
0.3333 0.6667 0.1344 Li
0.6667 0.3333 0.8656 Li
0.3333 0.6667 0.5636 Cd
0.6667 0.3333 0.4364 Cd
0.3333 0.6667 0.3892 Sb
0.3333 0.6667 0.8669 Sb
0.6667 0.3333 0.1331 Sb
0.6667 0.3333 0.6108 Sb
```

Most intense lines, 2θ = 5–70°, by intensity:
- 29.4°, intensity 100
- 36.6°, intensity 87
- 23.3°, intensity 52
- 26.0°, intensity 36
- 37.7°, intensity 33
- 21.5°, intensity 30
- 5.1°, intensity 30
- 47.7°, intensity 26


# 11
Computed powder XRD pattern
Compound: TiIn2O5
Radiation: λ = 1.5418 Å (Cu Kα)
Structure: a DFT-relaxed cell (GGA-PBE, Alexandria)
Intensities are scaled so that the largest is 100.

```
TiIn2O5
1.0
7.3840 0.0000 0.0000
0.0000 3.5324 0.0000
0.0000 0.0000 15.1671
Ti In O
4 8 20
Direct
0.1084 0.2500 0.0782 Ti
0.3916 0.7500 0.5782 Ti
0.6084 0.2500 0.4218 Ti
0.8916 0.7500 0.9218 Ti
0.1006 0.2500 0.4169 In
0.1737 0.2500 0.7604 In
0.3263 0.7500 0.2604 In
0.3994 0.7500 0.9169 In
0.6006 0.2500 0.0831 In
0.6737 0.2500 0.7396 In
0.8263 0.7500 0.2396 In
0.8994 0.7500 0.5831 In
0.0599 0.7500 0.3246 O
0.0729 0.7500 0.0459 O
0.1290 0.7500 0.8511 O
0.1541 0.7500 0.5049 O
0.2384 0.2500 0.1803 O
0.2616 0.7500 0.6803 O
0.3459 0.2500 0.0049 O
0.3710 0.2500 0.3511 O
0.4271 0.2500 0.5459 O
0.4401 0.2500 0.8246 O
0.5599 0.7500 0.1754 O
0.5729 0.7500 0.4541 O
0.6290 0.7500 0.6489 O
0.6541 0.7500 0.9951 O
0.7384 0.2500 0.3197 O
0.7616 0.7500 0.8197 O
0.8459 0.2500 0.4951 O
0.8710 0.2500 0.1489 O
0.9271 0.2500 0.9541 O
0.9401 0.2500 0.6754 O
```

Most intense lines, 2θ = 5–70°, by intensity:
- 30.9°, intensity 100
- 30.0°, intensity 94
- 50.8°, intensity 50
- 35.2°, intensity 38
- 61.0°, intensity 23
- 35.5°, intensity 21
- 51.8°, intensity 19
- 26.9°, intensity 18


# 12
Computed powder XRD pattern
Compound: NaSrCa4
Radiation: λ = 1.5418 Å (Cu Kα)
Structure: a DFT-relaxed cell (GGA-PBE, Alexandria)
Intensities are scaled so that the largest is 100.

```
NaSrCa4
1.0
6.0888 -3.3441 0.0000
6.0888 3.3441 0.0000
-4.1063 0.0000 12.8152
Na Sr Ca
2 2 8
Direct
0.1133 0.8867 0.7500 Na
0.8867 0.1133 0.2500 Na
0.0000 0.5000 0.5000 Sr
0.5000 0.0000 0.0000 Sr
0.1660 0.6666 0.9932 Ca
0.2136 0.4649 0.2493 Ca
0.3334 0.8340 0.5068 Ca
0.4649 0.2136 0.7493 Ca
0.5351 0.7864 0.2507 Ca
0.6666 0.1660 0.4932 Ca
0.7864 0.5351 0.7507 Ca
0.8340 0.3334 0.0068 Ca
```

Most intense lines, 2θ = 5–70°, by intensity:
- 29.3°, intensity 100
- 27.8°, intensity 37
- 26.6°, intensity 28
- 30.1°, intensity 23
- 55.0°, intensity 16
- 46.5°, intensity 13
- 27.6°, intensity 11
- 25.7°, intensity 11